No. 1
Diffraction record for Sr5Nb5O17. The XRD peak list is computed, not measured: it uses a DFT-relaxed cell (GGA-PBE, Alexandria) and Cu Ka.
Peak positions follow from Bragg's law for the DFT cell and can differ from measured ones.

Peak list (10 most intense, 2θ from 10° to 90°, in order of rising 2θ)
two_theta, I (rel.)
26.84, 38.3
27.48, 20.6
29.04, 83.3
31.07, 45.1
31.50, 100.0
41.51, 24.0
44.82, 39.4
45.46, 31.6
55.54, 42.4
57.14, 26.7

Structural model:
Cell lengths 5.7574, 33.2178, 4.0444 Å; angles 90.00, 90.00, 90.00 degrees
Positions (direct):
Sr (0.0000, 0.0000, 0.0000)
Sr (0.0019, 0.4104, 0.5000)
Sr (0.0714, 0.2176, 0.0000)
Sr (0.4286, 0.7176, 0.5000)
Sr (0.4981, 0.9104, 0.0000)
Sr (0.5000, 0.5000, 0.5000)
Sr (0.5019, 0.0896, 0.0000)
Sr (0.5714, 0.2824, 0.5000)
Sr (0.9286, 0.7824, 0.0000)
Sr (0.9981, 0.5896, 0.5000)
Nb (0.0000, 0.5000, 0.0000)
Nb (0.0084, 0.0899, 0.5000)
Nb (0.0381, 0.3236, 0.0000)
Nb (0.4619, 0.8236, 0.5000)
Nb (0.4916, 0.5899, 0.0000)
Nb (0.5000, 0.0000, 0.5000)
Nb (0.5084, 0.4101, 0.0000)
Nb (0.5381, 0.1764, 0.5000)
Nb (0.9619, 0.6764, 0.0000)
Nb (0.9916, 0.9101, 0.5000)
O (0.0000, 0.5000, 0.5000)
O (0.0029, 0.3314, 0.5000)
O (0.0111, 0.9177, 0.0000)
O (0.1791, 0.7199, 0.0000)
O (0.1987, 0.7915, 0.5000)
O (0.2078, 0.3800, 0.0000)
O (0.2197, 0.9642, 0.5000)
O (0.2208, 0.5484, 0.0000)
O (0.2250, 0.1318, 0.5000)
O (0.2750, 0.6318, 0.0000)
O (0.2792, 0.0484, 0.5000)
O (0.2803, 0.4642, 0.0000)
O (0.2922, 0.8800, 0.5000)
O (0.3013, 0.2915, 0.0000)
O (0.3209, 0.2199, 0.5000)
O (0.4889, 0.4177, 0.5000)
O (0.4971, 0.8314, 0.0000)
O (0.5000, 0.0000, 0.0000)
O (0.5029, 0.1686, 0.0000)
O (0.5111, 0.5823, 0.5000)
O (0.6791, 0.7801, 0.5000)
O (0.6987, 0.7085, 0.0000)
O (0.7078, 0.1200, 0.5000)
O (0.7197, 0.5358, 0.0000)
O (0.7208, 0.9516, 0.5000)
O (0.7250, 0.3682, 0.0000)
O (0.7750, 0.8682, 0.5000)
O (0.7792, 0.4516, 0.0000)
O (0.7803, 0.0358, 0.5000)
O (0.7922, 0.6200, 0.0000)
O (0.8013, 0.2085, 0.5000)
O (0.8209, 0.2801, 0.0000)
O (0.9889, 0.0823, 0.0000)
O (0.9971, 0.6686, 0.5000)



No. 2
Diffraction record for MgCd. The XRD peak list is computed, not measured: it uses a DFT-relaxed cell (GGA-PBE, Alexandria) and Cu Ka.
Peak positions follow from Bragg's law for the DFT cell and can differ from measured ones.

Peak list (10 most intense, 2θ from 10° to 90°, in order of rising 2θ)
two_theta, I (rel.)
12.65, 79.5
15.27, 41.1
29.49, 36.8
33.01, 43.9
34.70, 75.5
36.47, 46.2
36.89, 100.0
37.96, 93.3
38.61, 38.6
59.15, 34.0

Structural model:
Cell lengths 12.0107, 3.1374, 7.2417 Å; angles 90.00, 104.99, 90.00 degrees
Positions (direct):
Mg (0.0000, 0.0000, 0.0000)
Mg (0.0487, 0.0000, 0.5942)
Mg (0.3279, 0.0000, 0.6598)
Mg (0.5000, 0.5000, 0.0000)
Mg (0.5487, 0.5000, 0.5942)
Mg (0.8279, 0.5000, 0.6598)
Cd (0.1637, 0.5000, 0.3271)
Cd (0.2148, 0.5000, 0.9268)
Cd (0.3842, 0.0000, 0.2687)
Cd (0.6637, 0.0000, 0.3271)
Cd (0.7148, 0.0000, 0.9268)
Cd (0.8842, 0.5000, 0.2687)



No. 3
Diffraction record for LiCd5Pt4. The XRD peak list is computed, not measured: it uses a DFT-relaxed cell (GGA-PBE, Alexandria) and Cu Ka.
Peak positions follow from Bragg's law for the DFT cell and can differ from measured ones.

Peak list (10 most intense, 2θ from 10° to 90°, in order of rising 2θ)
two_theta, I (rel.)
11.75, 13.7
37.70, 100.0
37.92, 98.6
42.65, 70.7
46.45, 27.6
61.59, 11.7
62.20, 11.4
64.88, 40.1
74.66, 27.0
75.07, 26.3

Structural model:
Cell lengths 2.9849, 3.9099, 15.0579 Å; angles 90.00, 90.00, 90.00 degrees
Positions (direct):
Li (0.0000, 0.0000, 0.0000)
Cd (0.5000, 0.5000, 0.0997)
Cd (0.5000, 0.5000, 0.3000)
Cd (0.5000, 0.5000, 0.5000)
Cd (0.5000, 0.5000, 0.7000)
Cd (0.5000, 0.5000, 0.9003)
Pt (0.0000, 0.0000, 0.1975)
Pt (0.0000, 0.0000, 0.4002)
Pt (0.0000, 0.0000, 0.5998)
Pt (0.0000, 0.0000, 0.8025)



No. 4
Diffraction record for AcNpTeS2. The XRD peak list is computed, not measured: it uses a DFT-relaxed cell (GGA-PBE, Alexandria) and Cu Ka.
Peak positions follow from Bragg's law for the DFT cell and can differ from measured ones.

Peak list (10 most intense, 2θ from 10° to 90°, in order of rising 2θ)
two_theta, I (rel.)
20.33, 20.9
27.17, 100.0
27.45, 47.7
37.48, 13.6
37.69, 21.9
39.21, 30.0
47.84, 13.0
48.36, 42.5
56.66, 10.3
77.64, 10.8

Structural model:
Cell lengths 4.5950, 4.5950, 14.0677 Å; angles 90.00, 90.00, 90.00 degrees
Positions (direct):
Ac (0.0000, 0.0000, 0.0000)
Ac (0.5000, 0.5000, 0.5000)
Np (0.0000, 0.0000, 0.7238)
Np (0.5000, 0.5000, 0.2238)
Te (0.0000, 0.0000, 0.3675)
Te (0.5000, 0.5000, 0.8675)
S (0.0000, 0.5000, 0.1267)
S (0.0000, 0.5000, 0.6267)
S (0.5000, 0.0000, 0.1267)
S (0.5000, 0.0000, 0.6267)



No. 5
Diffraction record for NdYTm2. The XRD peak list is computed, not measured: it uses a DFT-relaxed cell (GGA-PBE, Alexandria) and Cu Ka.
Peak positions follow from Bragg's law for the DFT cell and can differ from measured ones.

Peak list (10 most intense, 2θ from 10° to 90°, in order of rising 2θ)
two_theta, I (rel.)
30.76, 100.0
30.95, 32.7
35.72, 67.0
51.28, 24.0
51.53, 23.5
60.99, 14.2
61.11, 28.2
61.33, 13.9
64.06, 12.2
83.66, 11.8

Structural model:
Cell lengths 3.5633, 3.5633, 34.6742 Å; angles 90.00, 90.00, 120.00 degrees
Positions (direct):
Nd (0.0000, 0.0000, 0.0000)
Nd (0.3333, 0.6667, 0.6667)
Nd (0.6667, 0.3333, 0.3333)
Y (0.0000, 0.0000, 0.5000)
Y (0.3333, 0.6667, 0.1667)
Y (0.6667, 0.3333, 0.8333)
Tm (0.0000, 0.0000, 0.2491)
Tm (0.0000, 0.0000, 0.7509)
Tm (0.3333, 0.6667, 0.4175)
Tm (0.3333, 0.6667, 0.9158)
Tm (0.6667, 0.3333, 0.0842)
Tm (0.6667, 0.3333, 0.5825)



No. 6
Diffraction record for AlNiP2C. The XRD peak list is computed, not measured: it uses a DFT-relaxed cell (GGA-PBE, Alexandria) and Cu Ka.
Peak positions follow from Bragg's law for the DFT cell and can differ from measured ones.

Peak list (10 most intense, 2θ from 10° to 90°, in order of rising 2θ)
two_theta, I (rel.)
12.32, 100.0
24.79, 24.3
31.24, 68.7
32.08, 17.1
35.26, 21.3
37.49, 34.0
42.94, 40.7
46.08, 37.2
53.02, 20.1
55.07, 45.2

Structural model:
Cell lengths 3.3354, 3.3354, 21.5469 Å; angles 90.00, 90.00, 120.00 degrees
Positions (direct):
Al (0.0000, 0.0000, 0.0000)
Al (0.3333, 0.6667, 0.6667)
Al (0.6667, 0.3333, 0.3333)
Ni (0.0000, 0.0000, 0.1618)
Ni (0.3333, 0.6667, 0.8285)
Ni (0.6667, 0.3333, 0.4951)
P (0.0000, 0.0000, 0.7731)
P (0.0000, 0.0000, 0.8860)
P (0.3333, 0.6667, 0.4398)
P (0.3333, 0.6667, 0.5526)
P (0.6667, 0.3333, 0.1064)
P (0.6667, 0.3333, 0.2193)
C (0.0000, 0.0000, 0.6919)
C (0.3333, 0.6667, 0.3586)
C (0.6667, 0.3333, 0.0252)



No. 7
Diffraction record for Sr2Zn5Hg. The XRD peak list is computed, not measured: it uses a DFT-relaxed cell (GGA-PBE, Alexandria) and Cu Ka.
Peak positions follow from Bragg's law for the DFT cell and can differ from measured ones.

Peak list (10 most intense, 2θ from 10° to 90°, in order of rising 2θ)
two_theta, I (rel.)
27.67, 59.4
31.43, 100.0
32.67, 48.8
36.83, 33.5
38.18, 40.8
39.38, 55.8
42.82, 25.9
43.83, 26.3
55.03, 26.2
66.42, 27.6

Structural model:
Cell lengths 8.8579, 8.8579, 9.4263 Å; angles 90.00, 90.00, 150.06 degrees
Positions (direct):
Sr (0.0000, 0.0000, 0.0000)
Sr (0.0000, 0.0000, 0.5000)
Sr (0.2010, 0.7990, 0.7500)
Sr (0.7990, 0.2010, 0.2500)
Zn (0.1849, 0.8151, 0.1120)
Zn (0.1849, 0.8151, 0.3880)
Zn (0.3420, 0.6580, 0.0115)
Zn (0.3420, 0.6580, 0.4885)
Zn (0.3944, 0.6056, 0.7500)
Zn (0.6056, 0.3944, 0.2500)
Zn (0.6580, 0.3420, 0.5115)
Zn (0.6580, 0.3420, 0.9885)
Zn (0.8151, 0.1849, 0.6120)
Zn (0.8151, 0.1849, 0.8880)
Hg (0.4441, 0.5559, 0.2500)
Hg (0.5559, 0.4441, 0.7500)



No. 8
Diffraction record for Rb2BaAsCl6. The XRD peak list is computed, not measured: it uses a DFT-relaxed cell (GGA-PBE, Alexandria) and Cu Ka.
Peak positions follow from Bragg's law for the DFT cell and can differ from measured ones.

Peak list (10 most intense, 2θ from 10° to 90°, in order of rising 2θ)
two_theta, I (rel.)
21.36, 100.0
22.88, 43.0
26.88, 19.2
28.04, 47.4
32.58, 65.2
36.50, 27.9
39.30, 39.3
43.52, 51.2
46.75, 22.2
55.41, 23.2

Structural model:
Cell lengths 8.4082, 8.4082, 8.4082 Å; angles 124.94, 124.94, 81.63 degrees
Positions (direct):
Rb (0.2500, 0.7500, 0.5000)
Rb (0.7500, 0.2500, 0.5000)
Ba (0.0000, 0.0000, 0.0000)
As (0.5000, 0.5000, 0.0000)
Cl (0.2352, 0.2352, 0.0000)
Cl (0.2733, 0.2733, 0.5465)
Cl (0.2733, 0.7267, 0.0000)
Cl (0.7267, 0.2733, 0.0000)
Cl (0.7267, 0.7267, 0.4535)
Cl (0.7648, 0.7648, 0.0000)